Record 1
Diffraction record for Mg5Ga2Pd. The PXRD pattern is simulated, not measured: it uses a structure optimized by DFT (PBE) and Cu Kα, 1.54184 Å.
Kinematic intensities with the Lorentz-polarization factor, no thermal factor.

Structural model:
Cell lengths 4.5916, 4.5916, 17.8253 Å; angles 90.00, 90.00, 120.00 degrees
Atoms (fractional coordinates):
Mg (0.0000, 0.0000, 0.1615)
Mg (0.0000, 0.0000, 0.3385)
Mg (0.0000, 0.0000, 0.6615)
Mg (0.0000, 0.0000, 0.8385)
Mg (0.3333, 0.6667, 0.0490)
Mg (0.3333, 0.6667, 0.2500)
Mg (0.3333, 0.6667, 0.4510)
Mg (0.6667, 0.3333, 0.5490)
Mg (0.6667, 0.3333, 0.7500)
Mg (0.6667, 0.3333, 0.9510)
Ga (0.3333, 0.6667, 0.6072)
Ga (0.3333, 0.6667, 0.8928)
Ga (0.6667, 0.3333, 0.1072)
Ga (0.6667, 0.3333, 0.3928)
Pd (0.3333, 0.6667, 0.7500)
Pd (0.6667, 0.3333, 0.2500)

Most intense lines, 10 to 90 degrees two-theta, sorted by position:
2theta, I (rel.), (hkl)
22.4, 37.2, 1 0 0
22.9, 100.0, 1 0 1
30.1, 20.5, 0 0 6
37.8, 41.8, 1 0 6
39.2, 95.5, 1 1 0
42.1, 58.8, 1 0 7
45.9, 15.5, 2 0 1
50.2, 23.5, 1 1 6
58.9, 21.2, 2 0 7
73.1, 21.9, 2 1 7


Record 2
Diffraction record for Mg2Ga2Pd3. The PXRD pattern is simulated, not measured: it uses a structure optimized by DFT (PBE) and Cu Kα, 1.54184 Å.
Kinematic intensities with the Lorentz-polarization factor, no thermal factor.

Structural model:
Cell lengths 4.4309, 4.4561, 7.3035 Å; angles 72.47, 74.20, 60.26 degrees
Atoms (fractional coordinates):
Mg (0.1286, 0.1122, 0.1452)
Mg (0.8714, 0.8878, 0.8548)
Ga (0.3990, 0.3597, 0.3786)
Ga (0.6010, 0.6403, 0.6214)
Pd (0.2318, 0.2644, 0.7426)
Pd (0.5000, 0.5000, 0.0000)
Pd (0.7682, 0.7356, 0.2574)

Most intense lines, 10 to 90 degrees two-theta, sorted by position:
2theta, I (rel.), (hkl)
23.4, 48.0, 0 1 0
23.6, 25.1, 1 1 1
40.5, 100.0, 1 2 1
40.8, 48.5, 2 1 1
41.7, 92.2, 0 1 3
42.9, 40.7, 1 0 3
58.8, 18.4, 2 0 -2
60.2, 14.4, 0 2 -2
74.0, 23.1, 3 3 2
74.5, 15.8, 1 3 4


Record 3
Diffraction record for PuMgGa2Pd2. The PXRD pattern is simulated, not measured: it uses a structure optimized by DFT (PBE) and Cu Kα, 1.54184 Å.
Kinematic intensities with the Lorentz-polarization factor, no thermal factor.

Structural model:
Cell lengths 4.3891, 4.3891, 6.8288 Å; angles 90.00, 90.00, 120.00 degrees
Atoms (fractional coordinates):
Pu (0.0000, 0.0000, 0.0000)
Mg (0.0000, 0.0000, 0.5000)
Ga (0.3333, 0.6667, 0.7331)
Ga (0.6667, 0.3333, 0.2669)
Pd (0.3333, 0.6667, 0.3345)
Pd (0.6667, 0.3333, 0.6655)

Most intense lines, 10 to 90 degrees two-theta, sorted by position:
2theta, I (rel.), (hkl)
26.8, 90.4, 0 1 1
35.3, 100.0, 1 0 2
39.6, 16.2, 0 0 3
41.1, 76.7, 1 1 0
49.8, 17.3, 2 0 1
55.3, 27.8, 0 2 2
58.4, 31.4, 1 1 3
66.5, 14.8, 1 2 1
71.2, 26.1, 2 1 2
75.0, 12.9, 3 0 0


Record 4
Diffraction record for Mg3Ga3PdRh2. The PXRD pattern is simulated, not measured: it uses a structure optimized by DFT (PBE) and Cu Kα, 1.54184 Å.
Kinematic intensities with the Lorentz-polarization factor, no thermal factor.

Structural model:
Cell lengths 7.4311, 7.4311, 2.9970 Å; angles 90.00, 90.00, 120.00 degrees
Atoms (fractional coordinates):
Mg (0.0000, 0.7104, 0.0000)
Mg (0.2896, 0.2896, 0.0000)
Mg (0.7104, 0.0000, 0.0000)
Ga (0.0000, 0.3779, 0.5000)
Ga (0.3779, 0.0000, 0.5000)
Ga (0.6221, 0.6221, 0.5000)
Pd (0.0000, 0.0000, 0.5000)
Rh (0.3333, 0.6667, 0.0000)
Rh (0.6667, 0.3333, 0.0000)

Most intense lines, 10 to 90 degrees two-theta, sorted by position:
2theta, I (rel.), (hkl)
23.9, 68.1, 1 1 0
33.0, 37.1, 1 0 1
38.6, 72.4, 1 1 1
41.2, 68.5, 2 0 1
42.1, 100.0, 3 0 0
48.2, 46.3, 2 1 1
58.4, 13.3, 2 2 1
71.2, 32.8, 3 2 1
77.7, 31.2, 3 0 2
81.4, 16.3, 5 0 1